Structure and theoretical powder XRD pattern of Ge3C (a structure optimized by DFT (GGA-PBE); Cu Kα (λ = 1.5418 Å)).

```
data_Ge3C
_cell_length_a 5.7543
_cell_length_b 5.7543
_cell_length_c 4.4573
_cell_angle_alpha 90.00
_cell_angle_beta 90.00
_cell_angle_gamma 120.00
_space_group_name_H-M_alt 'P 63/m m c'
_space_group_IT_number 194
_space_group_name_Hall '-P 6c 2c'
loop_
_atom_site_label
_atom_site_type_symbol
_atom_site_fract_x
_atom_site_fract_y
_atom_site_fract_z
_atom_site_occupancy
Ge1 Ge 0.1758 0.3516 0.2500 1
C1 C 0.3333 0.6667 0.7500 1
```

Main lines, by angle (15 to 90 degrees two-theta):
26.84°, I = 32.7; 36.05°, I = 25.0; 40.48°, I = 24.6; 41.52°, I = 100.0; 64.81°, I = 21.2; 79.26°, I = 18.0


Structure and theoretical powder XRD pattern of GeC (a structure optimized by DFT (GGA-PBE); Cu Kα (λ = 1.5418 Å)).

```
data_GeC
_cell_length_a 4.6042
_cell_length_b 4.6042
_cell_length_c 4.6042
_cell_angle_alpha 90.00
_cell_angle_beta 90.00
_cell_angle_gamma 90.00
_space_group_name_H-M_alt 'F -4 3 m'
_space_group_IT_number 216
_space_group_name_Hall 'F -4 2 3'
loop_
_atom_site_label
_atom_site_type_symbol
_atom_site_fract_x
_atom_site_fract_y
_atom_site_fract_z
_atom_site_occupancy
Ge1 Ge 0.0000 0.0000 0.0000 1
C1 C 0.2500 0.2500 0.7500 1
```

Main lines, by angle (15 to 90 degrees two-theta):
33.72°, I = 100.0; 39.13°, I = 36.5; 56.54°, I = 40.2; 67.47°, I = 38.2; 70.91°, I = 8.7; 84.10°, I = 6.2